Simulated X-ray powder pattern
Compound: VFe4Pd5
Radiation: CuKα
Structure: a crystal structure in Alexandria, relaxed with GGA-PBE
Kinematic intensities with the Lorentz-polarization factor, no thermal factor.

The 10 most intense peaks (15 to 90 degrees two-theta), in order of rising 2θ:
2theta  I/Imax
23.4  10
33.1  9
40.9  100
47.5  32
47.9  16
69.4  10
69.7  19
83.8  23
84.5  11
88.7  10

Cell and atoms:
Unit cell a=2.709 b=2.709 c=18.988 alpha=90.00 beta=90.00 gamma=90.00
Atoms (fractional coordinates):
V  0.000  0.000  0.000
Fe  0.000  0.000  0.202
Fe  0.000  0.000  0.400
Fe  0.000  0.000  0.600
Fe  0.000  0.000  0.798
Pd  0.500  0.500  0.101
Pd  0.500  0.500  0.301
Pd  0.500  0.500  0.500
Pd  0.500  0.500  0.699
Pd  0.500  0.500  0.899

=====

Simulated X-ray powder pattern
Compound: CsTlHg6
Radiation: CuKα
Structure: a crystal structure in Alexandria, relaxed with GGA-PBE
Kinematic intensities with the Lorentz-polarization factor, no thermal factor.

The 10 most intense peaks (15 to 90 degrees two-theta), in order of rising 2θ:
2theta  I/Imax
27.6  28
30.9  100
34.0  64
48.8  11
51.0  25
53.0  38
57.0  16
66.3  22
80.0  21
81.6  11

Cell and atoms:
Unit cell a=6.462 b=6.462 c=6.462 alpha=90.00 beta=90.00 gamma=90.00
Atoms (fractional coordinates):
Cs  0.000  0.000  0.000
Tl  0.500  0.500  0.500
Hg  0.000  0.262  0.500
Hg  0.000  0.738  0.500
Hg  0.262  0.500  0.000
Hg  0.500  0.000  0.262
Hg  0.500  0.000  0.738
Hg  0.738  0.500  0.000

=====

Simulated X-ray powder pattern
Compound: DyAl4Au4
Radiation: CuKα
Structure: a crystal structure in Alexandria, relaxed with GGA-PBE
Kinematic intensities with the Lorentz-polarization factor, no thermal factor.

The 10 most intense peaks (15 to 90 degrees two-theta), in order of rising 2θ:
2theta  I/Imax
20.1  28
28.6  17
30.4  100
33.7  70
41.0  24
42.2  29
43.5  18
46.1  40
54.1  21
68.2  19

Cell and atoms:
Unit cell a=6.227 b=6.227 c=8.835 alpha=90.00 beta=90.00 gamma=90.00
Atoms (fractional coordinates):
Dy  0.250  0.750  0.250
Dy  0.750  0.250  0.750
Al  0.029  0.250  0.157
Al  0.250  0.029  0.657
Al  0.250  0.471  0.657
Al  0.471  0.250  0.157
Al  0.529  0.750  0.843
Al  0.750  0.529  0.343
Al  0.750  0.971  0.343
Al  0.971  0.750  0.843
Au  0.020  0.250  0.451
Au  0.250  0.020  0.951
Au  0.250  0.480  0.951
Au  0.480  0.250  0.451
Au  0.520  0.750  0.549
Au  0.750  0.520  0.049
Au  0.750  0.980  0.049
Au  0.980  0.750  0.549

=====

> Number 2 is which compound?

CsTlHg6